For LiPdAu, a GGA-PBE-relaxed structure gives the simulated powder X-ray diffraction pattern in this record (Cu Kα).
Peak positions follow from Bragg's law for the DFT cell and can differ from measured ones.

Atomic structure:
```
data_LiPdAu
_chemical_formula_sum 'Li2 Pd2 Au2'
_space_group_name_H-M_alt 'I m m 2'
_space_group_IT_number 44
_cell_length_a 2.7831
_cell_length_b 4.0072
_cell_length_c 8.4407
_cell_angle_alpha 90.00
_cell_angle_beta 90.00
_cell_angle_gamma 90.00
loop_
_space_group_symop_operation_xyz
'x,y,z'
'-x,-y,z'
'-x,y,z'
'x,-y,z'
'x+1/2,y+1/2,z+1/2'
'-x+1/2,-y+1/2,z+1/2'
'-x+1/2,y+1/2,z+1/2'
'x+1/2,-y+1/2,z+1/2'
loop_
_atom_site_label
_atom_site_type_symbol
_atom_site_fract_x
_atom_site_fract_y
_atom_site_fract_z
Li1 Li 0.0000 0.0000 0.0000
Pd1 Pd 0.0000 0.0000 0.6627
Au1 Au 0.0000 0.0000 0.3336
```

Most intense lines, 2θ = 15–90°, in order of falling intensity:
- 2θ = 39.1°, intensity 100, (0 1 3)
- 2θ = 24.6°, intensity 98, (0 1 1)
- 2θ = 39.4°, intensity 98, (1 1 0)
- 2θ = 45.9°, intensity 64, (1 0 3)
- 2θ = 21.1°, intensity 63, (0 0 2)
- 2θ = 66.4°, intensity 53, (1 2 3)
- 2θ = 33.9°, intensity 44, (1 0 1)
- 2θ = 45.1°, intensity 36, (1 1 2)
- 2θ = 45.3°, intensity 33, (0 2 0)
- 2θ = 80.1°, intensity 25, (1 1 6)